[1]
Theoretical PXRD pattern of LaMg6Ni for Cu Kα (weighted mean of Kα1 and Kα2), from a crystal structure in the Materials Project, relaxed with GGA-PBE.
Neutral-atom scattering factors, no anomalous dispersion.

Structure:
a = 4.935 Å, b = 7.177 Å, c = 7.177 Å
α = 48.23°, β = 90.00°, γ = 90.00°
Fractional positions:
La1 0.000 0.000 0.000
Mg1 0.000 0.495 0.997
Mg2 0.000 0.997 0.495
Mg3 0.500 0.137 0.623
Mg4 0.500 0.162 0.162
Mg5 0.500 0.587 0.587
Mg6 0.500 0.623 0.137
Ni1 0.000 0.422 0.422

Largest 10 diffraction maxima, by angle, 10° ≤ 2θ ≤ 90°:
d/Å  intensity
6.551  78
4.935  50
3.942  42
3.628  36
2.856  71
2.729  64
2.676  49
2.467  49
2.392  35
2.353  100

---

[2]
Theoretical PXRD pattern of TbAl10Re2 for Cu Kα (weighted mean of Kα1 and Kα2), from a crystal structure in the Materials Project, relaxed with GGA-PBE.
Neutral-atom scattering factors, no anomalous dispersion.

Structure:
a = 6.970 Å, b = 6.970 Å, c = 18.044 Å
α = 90.00°, β = 90.00°, γ = 96.19°
Fractional positions:
Tb1 0.000 0.000 0.000
Tb2 0.000 0.000 0.500
Tb3 0.257 0.743 0.750
Tb4 0.743 0.257 0.250
Al1 0.000 0.500 0.000
Al2 0.000 0.500 0.500
Al3 0.033 0.967 0.174
Al4 0.033 0.967 0.326
Al5 0.089 0.614 0.250
Al6 0.092 0.349 0.131
Al7 0.092 0.349 0.369
Al8 0.248 0.752 0.093
Al9 0.248 0.752 0.407
Al10 0.272 0.298 0.750
Al11 0.282 0.718 0.575
Al12 0.282 0.718 0.925
Al13 0.298 0.272 0.250
Al14 0.349 0.092 0.631
Al15 0.349 0.092 0.869
Al16 0.351 0.351 0.000
Al17 0.351 0.351 0.500
Al18 0.386 0.911 0.250
Al19 0.494 0.506 0.143
Al20 0.494 0.506 0.357
Al21 0.500 0.000 0.000
Al22 0.500 0.000 0.500
Al23 0.506 0.494 0.643
Al24 0.506 0.494 0.857
Al25 0.614 0.089 0.750
Al26 0.649 0.649 0.000
Al27 0.649 0.649 0.500
Al28 0.651 0.908 0.131
Al29 0.651 0.908 0.369
Al30 0.702 0.728 0.750
Al31 0.718 0.282 0.075
Al32 0.718 0.282 0.425
Al33 0.728 0.702 0.250
Al34 0.752 0.248 0.593
Al35 0.752 0.248 0.907
Al36 0.908 0.651 0.631
Al37 0.908 0.651 0.869
Al38 0.911 0.386 0.750
Al39 0.967 0.033 0.674
Al40 0.967 0.033 0.826
Re1 0.130 0.374 0.621
Re2 0.130 0.374 0.879
Re3 0.374 0.130 0.121
Re4 0.374 0.130 0.379
Re5 0.626 0.870 0.621
Re6 0.626 0.870 0.879
Re7 0.870 0.626 0.121
Re8 0.870 0.626 0.379

Largest 10 diffraction maxima, by angle, 10° ≤ 2θ ≤ 90°:
d/Å  intensity
4.985  67
4.506  32
3.928  37
3.403  37
3.239  100
3.002  40
2.328  38
2.267  81
2.255  32
2.249  60

---

[3]
Theoretical PXRD pattern of Mg2BN2Cl for Cu Kα (weighted mean of Kα1 and Kα2), from a crystal structure in the Materials Project, relaxed with GGA-PBE.
Neutral-atom scattering factors, no anomalous dispersion.

Structure:
a = 6.685 Å, b = 9.839 Å, c = 10.655 Å
α = 90.00°, β = 90.00°, γ = 90.00°
Fractional positions:
Mg1 0.058 0.249 0.193
Mg2 0.058 0.251 0.693
Mg3 0.197 0.048 0.442
Mg4 0.197 0.452 0.942
Mg5 0.303 0.548 0.442
Mg6 0.303 0.952 0.942
Mg7 0.442 0.749 0.193
Mg8 0.442 0.751 0.693
Mg9 0.558 0.249 0.307
Mg10 0.558 0.251 0.807
Mg11 0.697 0.048 0.058
Mg12 0.697 0.452 0.558
Mg13 0.803 0.548 0.058
Mg14 0.803 0.952 0.558
Mg15 0.942 0.749 0.307
Mg16 0.942 0.751 0.807
B1 0.143 0.539 0.199
B2 0.143 0.961 0.699
B3 0.357 0.039 0.199
B4 0.357 0.461 0.699
B5 0.643 0.539 0.301
B6 0.643 0.961 0.801
B7 0.857 0.039 0.301
B8 0.857 0.461 0.801
N1 0.071 0.057 0.622
N2 0.071 0.443 0.122
N3 0.205 0.641 0.274
N4 0.205 0.859 0.774
N5 0.295 0.141 0.274
N6 0.295 0.359 0.774
N7 0.429 0.557 0.622
N8 0.429 0.943 0.122
N9 0.571 0.057 0.878
N10 0.571 0.443 0.378
N11 0.705 0.641 0.226
N12 0.705 0.859 0.726
N13 0.795 0.141 0.226
N14 0.795 0.359 0.726
N15 0.929 0.557 0.878
N16 0.929 0.943 0.378
Cl1 0.064 0.158 0.959
Cl2 0.064 0.342 0.459
Cl3 0.436 0.658 0.959
Cl4 0.436 0.842 0.459
Cl5 0.564 0.158 0.541
Cl6 0.564 0.342 0.041
Cl7 0.936 0.658 0.541
Cl8 0.936 0.842 0.041

Largest 10 diffraction maxima, by angle, 10° ≤ 2θ ≤ 90°:
d/Å  intensity
3.165  59
2.988  26
2.880  29
2.838  100
2.765  38
2.676  31
2.475  35
2.400  84
2.256  30
1.857  27

---

[4]
Theoretical PXRD pattern of KAlSi3O8 for Cu Kα (weighted mean of Kα1 and Kα2), from a crystal structure in the Materials Project, relaxed with GGA-PBE.
Neutral-atom scattering factors, no anomalous dispersion.

Structure:
a = 7.222 Å, b = 7.943 Å, c = 7.996 Å
α = 113.04°, β = 104.72°, γ = 103.97°
Fractional positions:
K1 0.136 0.288 0.291
K2 0.864 0.712 0.709
Al1 0.342 0.833 0.594
Al2 0.658 0.167 0.406
Si1 0.219 0.812 0.192
Si2 0.223 0.198 0.821
Si3 0.338 0.596 0.833
Si4 0.662 0.404 0.167
Si5 0.777 0.802 0.179
Si6 0.781 0.188 0.808
O1 0.012 0.173 0.866
O2 0.205 0.983 0.673
O3 0.213 0.668 0.975
O4 0.254 0.714 0.335
O5 0.264 0.354 0.734
O6 0.276 0.639 0.650
O7 0.389 0.035 0.288
O8 0.411 0.297 0.040
O9 0.589 0.703 0.960
O10 0.611 0.965 0.712
O11 0.724 0.361 0.350
O12 0.736 0.646 0.266
O13 0.746 0.286 0.665
O14 0.787 0.332 0.025
O15 0.795 0.017 0.327
O16 0.988 0.827 0.134

Largest 10 diffraction maxima, by angle, 10° ≤ 2θ ≤ 90°:
d/Å  intensity
4.328  43
3.860  82
3.489  20
3.474  21
3.382  100
3.331  74
3.226  73
3.031  60
2.216  28
1.804  23